(1)
# Ce2Y2O7
Calculated powder diffraction line list, Cu Ka. Input: a crystal structure in the Materials Project, relaxed with GGA-PBE.
Kinematic intensities with the Lorentz-polarization factor, no thermal factor.

Peak list (10 most intense, 2θ = 10–80°, by angle)
| d [Å] | two_theta | I_rel | h k l |
| --- | --- | --- | --- |
| 7.697 | 11.5 | 12 | 0 0 1 |
| 3.143 | 28.4 | 100 | 1 1 1 |
| 3.129 | 28.5 | 100 | -3 1 1 |
| 2.716 | 33.0 | 55 | 2 2 -2 |
| 1.927 | 47.2 | 16 | 0 0 4 |
| 1.921 | 47.3 | 50 | 4 0 0 |
| 1.916 | 47.5 | 34 | 4 0 -4 |
| 1.641 | 56.0 | 19 | -1 3 3 |
| 1.639 | 56.1 | 13 | 3 3 -1 |
| 1.636 | 56.2 | 39 | 1 5 -3 |

abc: 9.384 9.392 9.417
angles: 109.49 109.33 109.34
Space group P1 (No. 1)
Inequivalent atoms, fractional coordinates:
Ce  0.000  0.000  0.000 [1 per cell]
Ce  0.002  0.753  0.254 [1 per cell]
Ce  0.227  0.000  0.742 [1 per cell]
Ce  0.251  0.741  0.992 [1 per cell]
Ce  0.264  0.504  0.259 [1 per cell]
Ce  0.730  0.977  0.224 [1 per cell]
Ce  0.766  0.490  0.762 [1 per cell]
Ce  0.768  0.268  0.026 [1 per cell]
Y  0.002  0.252  0.770 [1 per cell]
Y  0.033  0.525  0.507 [1 per cell]
Y  0.259  0.230  0.482 [1 per cell]
Y  0.483  0.228  0.225 [1 per cell]
Y  0.498  0.493  0.021 [1 per cell]
Y  0.500  0.740  0.739 [1 per cell]
Y  0.508  0.005  0.477 [1 per cell]
Y  0.746  0.775  0.498 [1 per cell]
O  0.002  0.745  0.002 [1 per cell]
O  0.006  0.257  0.017 [1 per cell]
O  0.015  0.515  0.257 [1 per cell]
O  0.234  0.986  0.985 [1 per cell]
O  0.243  0.262  0.731 [1 per cell]
O  0.245  0.235  0.235 [1 per cell]
O  0.251  0.750  0.240 [1 per cell]
O  0.252  0.499  0.012 [1 per cell]
O  0.258  0.480  0.517 [1 per cell]
O  0.266  0.992  0.510 [1 per cell]
O  0.279  0.784  0.744 [1 per cell]
O  0.491  0.984  0.224 [1 per cell]
O  0.493  0.716  0.971 [1 per cell]
O  0.496  0.224  0.980 [1 per cell]
O  0.505  0.780  0.517 [1 per cell]
O  0.519  0.500  0.272 [1 per cell]
O  0.524  0.278  0.507 [1 per cell]
O  0.726  0.695  0.724 [1 per cell]
O  0.730  0.998  0.977 [1 per cell]
O  0.735  0.231  0.762 [1 per cell]
O  0.740  0.502  0.993 [1 per cell]
O  0.748  0.752  0.247 [1 per cell]
O  0.774  0.032  0.491 [1 per cell]
O  0.776  0.269  0.284 [1 per cell]
O  0.980  0.740  0.502 [1 per cell]
O  0.990  0.003  0.756 [1 per cell]
O  0.993  0.486  0.723 [1 per cell]
O  0.998  0.011  0.260 [1 per cell]


(2)
# Ce2Y2O7
Calculated powder diffraction line list, Cu Ka. Input: a crystal structure in the Materials Project, relaxed with GGA-PBE.
Kinematic intensities with the Lorentz-polarization factor, no thermal factor.

Peak list (10 most intense, 2θ = 10–80°, by angle)
| d [Å] | two_theta | I_rel | h k l |
| --- | --- | --- | --- |
| 3.145 | 28.4 | 100 | 1 0 2 |
| 2.723 | 32.9 | 28 | 1 1 0 |
| 2.642 | 33.9 | 5 | 1 0 3 |
| 1.926 | 47.2 | 54 | 2 0 0 |
| 1.701 | 53.9 | 2 | 1 1 5 |
| 1.642 | 56.0 | 42 | 2 1 2 |
| 1.572 | 58.7 | 8 | 2 0 4 |
| 1.362 | 69.0 | 8 | 2 2 0 |
| 1.250 | 76.2 | 16 | 3 0 2 |
| 1.218 | 78.5 | 10 | 3 1 0 |

abc: 3.850 3.850 10.900
angles: 90.00 90.00 90.00
Space group P-4m2 (No. 115)
Inequivalent atoms, fractional coordinates:
Ce  0.000  0.500  0.125 [2 per cell]
Y  0.000  0.500  0.640 [2 per cell]
O  0.000  0.000  0.000 [1 per cell]
O  0.000  0.000  0.265 [2 per cell]
O  0.500  0.500  0.000 [1 per cell]
O  0.500  0.500  0.240 [2 per cell]
O  0.500  0.500  0.500 [1 per cell]


(3)
# Ce2Y2O7
Calculated powder diffraction line list, Cu Ka. Input: a crystal structure in the Materials Project, relaxed with GGA-PBE.
Kinematic intensities with the Lorentz-polarization factor, no thermal factor.

Peak list (10 most intense, 2θ = 10–80°, by angle)
| d [Å] | two_theta | I_rel | h k l |
| --- | --- | --- | --- |
| 3.172 | 28.1 | 100 | 2 0 2 |
| 3.095 | 28.8 | 94 | 0 1 2 |
| 2.727 | 32.8 | 17 | 0 0 4 |
| 2.706 | 33.1 | 37 | 2 1 0 |
| 1.949 | 46.6 | 18 | 4 0 0 |
| 1.921 | 47.3 | 68 | 2 1 4 |
| 1.880 | 48.4 | 17 | 0 2 0 |
| 1.649 | 55.7 | 42 | 4 1 2 |
| 1.636 | 56.2 | 13 | 0 1 6 |
| 1.617 | 56.9 | 27 | 2 2 2 |

abc: 7.798 3.760 10.906
angles: 90.00 90.00 90.00
Space group Pmma (No. 51)
Inequivalent atoms, fractional coordinates:
Ce  0.000  0.000  0.000 [2 per cell]
Ce  0.250  0.500  0.254 [2 per cell]
Y  0.000  0.000  0.500 [2 per cell]
Y  0.250  0.500  0.769 [2 per cell]
O  0.011  0.500  0.122 [4 per cell]
O  0.044  0.500  0.625 [4 per cell]
O  0.250  0.000  0.135 [2 per cell]
O  0.250  0.000  0.392 [2 per cell]
O  0.250  0.000  0.874 [2 per cell]


(4)
# Ce4Y2O11
Calculated powder diffraction line list, Cu Ka. Input: a crystal structure in the Materials Project, relaxed with GGA-PBE.
Kinematic intensities with the Lorentz-polarization factor, no thermal factor.

Peak list (10 most intense, 2θ = 10–80°, by angle)
| d [Å] | two_theta | I_rel | h k l |
| --- | --- | --- | --- |
| 8.176 | 10.8 | 3 | 0 0 2 |
| 3.149 | 28.3 | 100 | 1 0 3 |
| 2.806 | 31.9 | 2 | 1 0 4 |
| 2.727 | 32.8 | 28 | 1 1 0 |
| 1.929 | 47.1 | 54 | 2 0 0 |
| 1.645 | 55.9 | 43 | 2 1 3 |
| 1.575 | 58.6 | 8 | 2 0 6 |
| 1.364 | 68.8 | 8 | 2 2 0 |
| 1.251 | 76.1 | 17 | 3 0 3 |
| 1.220 | 78.4 | 11 | 3 1 0 |

abc: 3.859 3.859 16.351
angles: 90.00 90.00 90.00
Space group P-4m2 (No. 115)
Inequivalent atoms, fractional coordinates:
Ce  0.000  0.500  0.083 [2 per cell]
Ce  0.000  0.500  0.749 [2 per cell]
Y  0.000  0.500  0.407 [2 per cell]
O  0.000  0.000  0.000 [1 per cell]
O  0.000  0.000  0.163 [2 per cell]
O  0.000  0.000  0.326 [2 per cell]
O  0.000  0.000  0.500 [1 per cell]
O  0.500  0.500  0.000 [1 per cell]
O  0.500  0.500  0.171 [2 per cell]
O  0.500  0.500  0.346 [2 per cell]


(5)
# Ce5Y2O13
Calculated powder diffraction line list, Cu Ka. Input: a crystal structure in the Materials Project, relaxed with GGA-PBE.
Kinematic intensities with the Lorentz-polarization factor, no thermal factor.

Peak list (10 most intense, 2θ = 10–80°, by angle)
| d [Å] | two_theta | I_rel | h k l |
| --- | --- | --- | --- |
| 3.186 | 28.0 | 34 | 0 0 21 |
| 3.134 | 28.5 | 100 | 1 0 7 |
| 2.725 | 32.9 | 38 | 0 1 14 |
| 1.939 | 46.9 | 36 | 1 0 28 |
| 1.915 | 47.5 | 36 | 1 1 0 |
| 1.656 | 55.5 | 15 | 0 1 35 |
| 1.642 | 56.0 | 29 | 1 1 21 |
| 1.634 | 56.3 | 15 | 0 2 7 |
| 1.363 | 68.9 | 11 | 0 2 28 |
| 1.243 | 76.6 | 12 | 2 1 7 |

abc: 3.8309 3.8309 66.8994
angles: 90.00 90.00 120.00
Space group R3m (No. 160, hexagonal axes)
Inequivalent atoms, fractional coordinates:
Ce  0.0000  0.0000  0.0000 [3 per cell]
Ce  0.0000  0.0000  0.1430 [3 per cell]
Ce  0.0000  0.0000  0.2859 [3 per cell]
Ce  0.0000  0.0000  0.4286 [3 per cell]
Ce  0.0000  0.0000  0.7143 [3 per cell]
Y  0.0000  0.0000  0.5719 [3 per cell]
Y  0.0000  0.0000  0.8546 [3 per cell]
O  0.0000  0.0000  0.0348 [3 per cell]
O  0.0000  0.0000  0.1063 [3 per cell]
O  0.0000  0.0000  0.1779 [3 per cell]
O  0.0000  0.0000  0.2447 [3 per cell]
O  0.0000  0.0000  0.3205 [3 per cell]
O  0.0000  0.0000  0.3920 [3 per cell]
O  0.0000  0.0000  0.4634 [3 per cell]
O  0.0000  0.0000  0.5401 [3 per cell]
O  0.0000  0.0000  0.6068 [3 per cell]
O  0.0000  0.0000  0.6777 [3 per cell]
O  0.0000  0.0000  0.7491 [3 per cell]
O  0.0000  0.0000  0.8206 [3 per cell]
O  0.0000  0.0000  0.9637 [3 per cell]


(6)
# Ce2ZrO6
Calculated powder diffraction line list, Cu Ka. Input: a crystal structure in the Materials Project, relaxed with GGA-PBE.
Kinematic intensities with the Lorentz-polarization factor, no thermal factor.

Peak list (10 most intense, 2θ = 10–80°, by angle)
| d [Å] | two_theta | I_rel | h k l |
| --- | --- | --- | --- |
| 3.105 | 28.8 | 100 | 3 1 0 |
| 2.701 | 33.2 | 9 | 4 0 -2 |
| 2.683 | 33.4 | 18 | 0 2 0 |
| 1.904 | 47.8 | 37 | 6 0 0 |
| 1.897 | 48.0 | 18 | 2 2 2 |
| 1.627 | 56.6 | 15 | 7 1 -2 |
| 1.619 | 56.9 | 29 | 5 1 2 |
| 1.552 | 59.5 | 8 | 6 2 0 |
| 1.235 | 77.3 | 12 | 5 3 -4 |
| 1.231 | 77.5 | 6 | 5 3 2 |

abc: 12.065 5.367 7.612
angles: 90.00 108.79 90.00
Space group C2 (No. 5)
Inequivalent atoms, fractional coordinates:
Ce  0.000  0.000  0.000 [2 per cell]
Ce  0.000  0.007  0.500 [2 per cell]
Ce  0.167  0.498  0.832 [4 per cell]
Zr  0.169  0.501  0.337 [4 per cell]
O  0.007  0.757  0.743 [4 per cell]
O  0.013  0.268  0.249 [4 per cell]
O  0.161  0.734  0.101 [4 per cell]
O  0.162  0.249  0.590 [4 per cell]
O  0.173  0.246  0.079 [4 per cell]
O  0.181  0.750  0.569 [4 per cell]